Theoretical PXRD pattern of DyBiPO for Cu Kα, from a DFT-relaxed cell (GGA-PBE, OQMD).
No peak broadening, texture or thermal motion is included.

Principal peaks in the range 10 to 90 degrees two-theta, low angle first:
two_theta	d/Å	I (rel.)
25.25	3.527	86.7
26.32	3.386	100.0
29.45	3.033	63.4
30.08	2.971	64.3
39.66	2.272	53.6
43.05	2.101	36.8
46.55	1.951	19.3
54.24	1.691	37.0
56.42	1.631	21.7
62.52	1.486	20.1

a b c (Å): 3.9022 8.2414 5.9427
angles (deg): 90.00 90.00 90.00
Positions (direct):
1 Dy 0.0000 0.1581 0.0000
2 Dy 0.0000 0.8419 0.5000
3 Bi 0.5000 0.4079 0.5062
4 Bi 0.5000 0.5921 0.0062
5 P 0.0000 0.1819 0.5010
6 P 0.0000 0.8181 0.0010
7 O 0.5000 0.2554 0.0005
8 O 0.5000 0.7446 0.5005

=====

Theoretical PXRD pattern of Ac3Ge4Au4 for Cu Kα, from a DFT-relaxed cell (GGA-PBE, OQMD).
No peak broadening, texture or thermal motion is included.

Principal peaks in the range 10 to 90 degrees two-theta, low angle first:
two_theta	d/Å	I (rel.)
31.03	2.882	100.0
36.78	2.443	11.4
39.58	2.277	18.0
39.70	2.270	17.9
43.04	2.102	12.0
51.16	1.786	13.5
57.31	1.608	12.4
59.97	1.542	9.1
64.09	1.453	10.7
66.69	1.403	11.2

a b c (Å): 13.4215 13.4215 13.4215
angles (deg): 160.52 160.47 27.72
Positions (direct):
1 Ac 0.0000 0.0000 0.0000
2 Ac 0.3491 0.8491 0.5000
3 Ac 0.6509 0.1509 0.5000
4 Ge 0.1942 0.6942 0.5000
5 Ge 0.4508 0.4508 0.0000
6 Ge 0.5492 0.5492 0.0000
7 Ge 0.8058 0.3058 0.5000
8 Au 0.0952 0.5952 0.5000
9 Au 0.2503 0.2503 0.0000
10 Au 0.7497 0.7497 0.0000
11 Au 0.9048 0.4048 0.5000

=====

Theoretical PXRD pattern of Sm2YSi4Ag4 for Cu Kα, from a DFT-relaxed cell (GGA-PBE, OQMD).
No peak broadening, texture or thermal motion is included.

Principal peaks in the range 10 to 90 degrees two-theta, low angle first:
two_theta	d/Å	I (rel.)
23.37	3.806	12.8
27.81	3.208	15.3
32.74	2.735	30.8
33.41	2.682	100.0
42.55	2.125	20.6
44.12	2.053	18.5
44.28	2.046	16.9
54.70	1.678	14.0
62.96	1.476	12.4
64.29	1.449	10.8

a b c (Å): 13.1712 13.1712 13.1712
angles (deg): 162.07 161.43 25.92
Positions (direct):
1 Sm 0.1476 0.1476 0.0000
2 Sm 0.8524 0.8524 0.0000
3 Y 0.5000 0.0000 0.5000
4 Si 0.0454 0.5454 0.5000
5 Si 0.3113 0.3113 0.0000
6 Si 0.6887 0.6887 0.0000
7 Si 0.9546 0.4546 0.5000
8 Ag 0.2491 0.7491 0.5000
9 Ag 0.4069 0.4069 0.0000
10 Ag 0.5931 0.5931 0.0000
11 Ag 0.7509 0.2509 0.5000

=====

Theoretical PXRD pattern of Cu7Ag3 for Cu Kα, from a DFT-relaxed cell (GGA-PBE, OQMD).
No peak broadening, texture or thermal motion is included.

Principal peaks in the range 10 to 90 degrees two-theta, low angle first:
two_theta	d/Å	I (rel.)
41.01	2.201	95.9
41.52	2.175	100.0
46.21	1.965	66.8
51.51	1.774	25.7
66.67	1.403	8.1
68.14	1.376	10.4
71.67	1.317	32.9
81.68	1.179	18.1
82.71	1.167	22.0
88.95	1.100	8.4

a b c (Å): 2.7521 3.5486 14.0284
angles (deg): 90.00 90.00 90.00
Positions (direct):
1 Cu 0.0000 0.0000 0.0000
2 Cu 0.0000 0.0000 0.1795
3 Cu 0.0000 0.0000 0.7837
4 Cu 0.5000 0.5000 0.0884
5 Cu 0.5000 0.5000 0.2680
6 Cu 0.5000 0.5000 0.4819
7 Cu 0.5000 0.5000 0.6968
8 Ag 0.0000 0.0000 0.3757
9 Ag 0.0000 0.0000 0.5882
10 Ag 0.5000 0.5000 0.8923

=====

Theoretical PXRD pattern of ErAuSO for Cu Kα, from a DFT-relaxed cell (GGA-PBE, OQMD).
No peak broadening, texture or thermal motion is included.

Principal peaks in the range 10 to 90 degrees two-theta, low angle first:
two_theta	d/Å	I (rel.)
17.92	4.949	50.0
22.49	3.953	58.1
24.18	3.681	38.1
27.81	3.208	100.0
28.39	3.144	81.6
33.15	2.703	60.6
33.56	2.671	93.0
34.29	2.615	92.3
42.39	2.132	46.7
45.91	1.977	79.9

a b c (Å): 5.5955 5.5878 10.6656
angles (deg): 90.00 91.71 90.00
Positions (direct):
1 Er 0.0050 0.0000 0.0979
2 Er 0.4950 0.0006 0.9018
3 Er 0.5050 0.5006 0.0982
4 Er 0.9950 0.5000 0.9021
5 Au 0.0021 0.0203 0.7217
6 Au 0.3159 0.2737 0.5030
7 Au 0.6841 0.7737 0.4970
8 Au 0.9979 0.5203 0.2783
9 S 0.2945 0.2294 0.2871
10 S 0.3005 0.3116 0.7188
11 S 0.6995 0.8116 0.2812
12 S 0.7055 0.7294 0.7129
13 O 0.2487 0.2493 0.0014
14 O 0.2516 0.7495 0.9997
15 O 0.7484 0.2495 0.0003
16 O 0.7513 0.7493 0.9986

=====

Theoretical PXRD pattern of BaSmAgTe2S for Cu Kα, from a DFT-relaxed cell (GGA-PBE, OQMD).
No peak broadening, texture or thermal motion is included.

Principal peaks in the range 10 to 90 degrees two-theta, low angle first:
two_theta	d/Å	I (rel.)
26.81	3.325	64.7
27.25	3.273	31.8
28.06	3.180	56.7
28.84	3.096	23.2
31.52	2.839	100.0
32.38	2.765	51.0
32.86	2.726	37.7
39.56	2.278	20.4
39.78	2.266	55.7
40.62	2.221	42.8

a b c (Å): 7.8428 7.8428 10.9036
angles (deg): 90.00 90.00 147.10
Positions (direct):
1 Ba 0.2277 0.7723 0.7500
2 Ba 0.7723 0.2277 0.2500
3 Sm 0.5000 0.5000 0.0000
4 Sm 0.5000 0.5000 0.5000
5 Ag 0.0226 0.9774 0.2500
6 Ag 0.9774 0.0226 0.7500
7 Te 0.1442 0.8558 0.0555
8 Te 0.1442 0.8558 0.4445
9 Te 0.8558 0.1442 0.5555
10 Te 0.8558 0.1442 0.9445
11 S 0.4306 0.5694 0.2500
12 S 0.5694 0.4306 0.7500

=====

Theoretical PXRD pattern of Tm5Co2B6 for Cu Kα, from a DFT-relaxed cell (GGA-PBE, OQMD).
No peak broadening, texture or thermal motion is included.

Principal peaks in the range 10 to 90 degrees two-theta, low angle first:
two_theta	d/Å	I (rel.)
23.49	3.788	20.8
27.45	3.250	21.5
33.40	2.683	100.0
33.67	2.662	32.1
37.09	2.424	18.7
41.23	2.189	39.2
48.16	1.889	12.5
59.73	1.548	43.3
59.87	1.545	12.6
80.05	1.199	16.6

a b c (Å): 8.1849 8.1849 8.1849
angles (deg): 38.27 38.27 38.27
Positions (direct):
1 Tm 0.0000 0.0000 0.0000
2 Tm 0.2519 0.2519 0.2519
3 Tm 0.4157 0.4157 0.4157
4 Tm 0.5843 0.5843 0.5843
5 Tm 0.7481 0.7481 0.7481
6 Co 0.1185 0.1185 0.1185
7 Co 0.8815 0.8815 0.8815
8 B 0.1688 0.5000 0.8312
9 B 0.1688 0.8312 0.5000
10 B 0.5000 0.1688 0.8312
11 B 0.5000 0.8312 0.1688
12 B 0.8312 0.1688 0.5000
13 B 0.8312 0.5000 0.1688

=====

Theoretical PXRD pattern of TbHoGa6 for Cu Kα, from a DFT-relaxed cell (GGA-PBE, OQMD).
No peak broadening, texture or thermal motion is included.

Principal peaks in the range 10 to 90 degrees two-theta, low angle first:
two_theta	d/Å	I (rel.)
25.52	3.491	23.7
28.51	3.131	9.8
33.03	2.712	25.3
38.63	2.331	100.0
39.51	2.281	22.1
52.42	1.746	13.5
59.00	1.566	16.7
71.08	1.326	16.1
72.76	1.300	12.2
73.34	1.291	17.3

a b c (Å): 6.2626 6.2626 4.5617
angles (deg): 90.00 90.00 120.00
Positions (direct):
1 Tb 0.0000 0.0000 0.0000
2 Ho 0.3333 0.6667 0.5000
3 Ga 0.3702 0.1851 0.5000
4 Ga 0.5182 0.0363 0.0000
5 Ga 0.5182 0.4818 0.0000
6 Ga 0.8149 0.1851 0.5000
7 Ga 0.8149 0.6298 0.5000
8 Ga 0.9637 0.4818 0.0000

=====

Theoretical PXRD pattern of KGdP4O12 for Cu Kα, from a DFT-relaxed cell (GGA-PBE, OQMD).
No peak broadening, texture or thermal motion is included.

Principal peaks in the range 10 to 90 degrees two-theta, low angle first:
two_theta	d/Å	I (rel.)
15.59	5.684	77.7
16.42	5.399	100.0
17.04	5.203	50.7
27.25	3.273	72.1
27.61	3.231	62.1
27.74	3.216	46.2
29.12	3.066	57.2
29.81	2.997	53.5
34.98	2.565	29.2
36.02	2.493	27.3

a b c (Å): 7.1709 8.2431 7.8524
angles (deg): 90.00 91.98 90.00
Positions (direct):
1 K 0.2274 0.0000 0.2766
2 K 0.7726 0.5000 0.7234
3 Gd 0.2650 0.6969 0.7569
4 Gd 0.7350 0.1969 0.2431
5 P 0.0599 0.0740 0.8991
6 P 0.1199 0.4370 0.4053
7 P 0.3993 0.2808 0.9011
8 P 0.4983 0.0471 0.6184
9 P 0.5017 0.5471 0.3816
10 P 0.6007 0.7808 0.0989
11 P 0.8801 0.9370 0.5947
12 P 0.9401 0.5740 0.1009
13 O 0.0303 0.2804 0.3527
14 O 0.0399 0.5832 0.2871
15 O 0.0820 0.6020 0.9689
16 O 0.1140 0.4894 0.5868
17 O 0.1821 0.9287 0.9275
18 O 0.1826 0.2357 0.8810
19 O 0.3232 0.9482 0.6097
20 O 0.3305 0.4264 0.3460
21 O 0.4203 0.4443 0.8229
22 O 0.4652 0.6530 0.5315
23 O 0.4660 0.2521 0.0811
24 O 0.4883 0.6511 0.2097
25 O 0.5117 0.1511 0.7903
26 O 0.5340 0.7521 0.9189
27 O 0.5348 0.1530 0.4685
28 O 0.5797 0.9443 0.1771
29 O 0.6695 0.9264 0.6540
30 O 0.6768 0.4482 0.3903
31 O 0.8174 0.7357 0.1190
32 O 0.8179 0.4287 0.0725
33 O 0.8860 0.9894 0.4132
34 O 0.9180 0.1020 0.0311
35 O 0.9601 0.0832 0.7129
36 O 0.9697 0.7804 0.6473

=====

Theoretical PXRD pattern of HfZrBi4 for Cu Kα, from a DFT-relaxed cell (GGA-PBE, OQMD).
No peak broadening, texture or thermal motion is included.

Principal peaks in the range 10 to 90 degrees two-theta, low angle first:
two_theta	d/Å	I (rel.)
28.81	3.099	11.7
31.45	2.845	100.0
33.92	2.643	29.3
38.42	2.343	21.7
39.82	2.264	34.3
52.73	1.736	24.3
59.66	1.550	22.6
62.69	1.482	18.9
72.75	1.300	14.2
74.15	1.279	13.4

a b c (Å): 5.9357 5.9357 5.9357
angles (deg): 105.82 105.82 117.06
Positions (direct):
1 Hf 0.0000 0.0000 0.0000
2 Zr 0.5000 0.5000 0.0000
3 Bi 0.0973 0.9027 0.5000
4 Bi 0.4027 0.5973 0.5000
5 Bi 0.5973 0.0973 0.1946
6 Bi 0.9027 0.4027 0.8054

=====

Theoretical PXRD pattern of Hf3GeCN for Cu Kα, from a DFT-relaxed cell (GGA-PBE, OQMD).
No peak broadening, texture or thermal motion is included.

Principal peaks in the range 10 to 90 degrees two-theta, low angle first:
two_theta	d/Å	I (rel.)
32.13	2.786	40.6
34.90	2.571	13.5
37.17	2.419	100.0
38.11	2.361	23.8
39.93	2.258	40.0
54.53	1.683	18.7
56.60	1.626	32.4
68.25	1.374	14.3
69.68	1.349	18.6
70.29	1.339	24.4

a b c (Å): 3.2520 3.2520 18.8907
angles (deg): 90.00 90.00 120.00
Positions (direct):
1 Hf 0.0000 0.0000 0.0000
2 Hf 0.0000 0.0000 0.5000
3 Hf 0.3333 0.6667 0.1365
4 Hf 0.3333 0.6667 0.3630
5 Hf 0.6667 0.3333 0.6370
6 Hf 0.6667 0.3333 0.8635
7 Ge 0.0000 0.0000 0.2490
8 Ge 0.0000 0.0000 0.7510
9 C 0.3333 0.6667 0.5731
10 C 0.6667 0.3333 0.4269
11 N 0.3333 0.6667 0.9316
12 N 0.6667 0.3333 0.0684

=====

Theoretical PXRD pattern of Ba9Nb2CN10O for Cu Kα, from a DFT-relaxed cell (GGA-PBE, OQMD).
No peak broadening, texture or thermal motion is included.

Principal peaks in the range 10 to 90 degrees two-theta, low angle first:
two_theta	d/Å	I (rel.)
25.73	3.462	26.5
27.75	3.215	54.1
28.33	3.151	76.0
28.61	3.120	41.1
28.83	3.097	100.0
29.65	3.013	62.0
30.09	2.970	47.3
31.72	2.821	70.8
32.33	2.769	31.7
32.54	2.751	37.0

a b c (Å): 8.0243 9.6521 12.6924
angles (deg): 75.96 85.64 87.82
Positions (direct):
1 Ba 0.0003 0.1805 0.0783
2 Ba 0.9997 0.8195 0.9217
3 Ba 0.0305 0.8791 0.3714
4 Ba 0.0393 0.5689 0.2269
5 Ba 0.2318 0.7902 0.6594
6 Ba 0.2452 0.4882 0.4991
7 Ba 0.3290 0.9188 0.1176
8 Ba 0.4648 0.2626 0.1186
9 Ba 0.4839 0.4309 0.7771
10 Ba 0.4916 0.1168 0.6073
11 Ba 0.5084 0.8832 0.3927
12 Ba 0.5161 0.5691 0.2229
13 Ba 0.5352 0.7374 0.8814
14 Ba 0.6710 0.0812 0.8824
15 Ba 0.7548 0.5118 0.5009
16 Ba 0.7682 0.2098 0.3406
17 Ba 0.9607 0.4311 0.7731
18 Ba 0.9695 0.1209 0.6286
19 Nb 0.2300 0.1350 0.8363
20 Nb 0.2311 0.2043 0.3795
21 Nb 0.7689 0.7957 0.6205
22 Nb 0.7700 0.8650 0.1637
23 C 0.2378 0.5594 0.9658
24 C 0.7622 0.4406 0.0342
25 N 0.0080 0.8682 0.1219
26 N 0.0402 0.3323 0.4168
27 N 0.1955 0.5743 0.8713
28 N 0.2062 0.1340 0.2471
29 N 0.2380 0.0310 0.4984
30 N 0.2576 0.2951 0.7041
31 N 0.2864 0.5554 0.0572
32 N 0.3064 0.9517 0.8017
33 N 0.3538 0.1754 0.9541
34 N 0.4422 0.3089 0.3762
35 N 0.5578 0.6911 0.6238
36 N 0.6462 0.8246 0.0459
37 N 0.6936 0.0483 0.1983
38 N 0.7136 0.4446 0.9428
39 N 0.7424 0.7049 0.2959
40 N 0.7620 0.9690 0.5016
41 N 0.7938 0.8660 0.7529
42 N 0.8045 0.4257 0.1287
43 N 0.9598 0.6677 0.5832
44 N 0.9920 0.1318 0.8781
45 O 0.2840 0.7020 0.3212
46 O 0.7160 0.2980 0.6788